For Tl2V3O8, a structure optimized by DFT (GGA+U) gives the theoretical X-ray powder pattern in this record (Cu Kα (λ = 1.5418 Å)).

The 6 most intense peaks (2θ from 10° to 80°), by angle:
(hkl), Position (°2θ), I/Imax
2 1 0, 21.94, 16
2 0 1, 25.13, 33
2 1 1, 27.02, 100
3 1 0, 31.22, 19
2 1 2, 38.69, 18
4 1 1, 44.19, 22

```
data_Tl2V3O8
_chemical_formula_sum 'Tl4 V6 O16'
_symmetry_space_group_name_H-M 'P 4 b m'
_symmetry_Int_Tables_number 100
_cell_length_a 9.0602
_cell_length_b 9.0602
_cell_length_c 5.6864
_cell_angle_alpha 90.00
_cell_angle_beta 90.00
_cell_angle_gamma 90.00
loop_
_symmetry_equiv_pos_as_xyz
'x,y,z'
'-y,x,z'
'-x,-y,z'
'y,-x,z'
'-x+1/2,y+1/2,z'
'y+1/2,x+1/2,z'
'x+1/2,-y+1/2,z'
'-y+1/2,-x+1/2,z'
loop_
_atom_site_label
_atom_site_type_symbol
_atom_site_fract_x
_atom_site_fract_y
_atom_site_fract_z
_atom_site_occupancy
Tl1 Tl 0.1748 0.3252 0.0000 1
V1 V 0.0000 0.0000 0.5465 1
V2 V 0.1351 0.6351 0.5346 1
O1 O 0.0000 0.0000 0.2583 1
O2 O 0.0000 0.5000 0.6402 1
O3 O 0.0871 0.8078 0.6479 1
O4 O 0.1363 0.6363 0.2412 1
```